Starting from a PBE+U-relaxed structure, the powder diffractogram of SrCa3V4O12 was calculated for Cu Kα X-rays.

Principal peaks in the range 2θ = 15–90°, in order of falling intensity:
d (Å)	2θ (°)	I_rel	hkl
2.738	32.7	1000	1 2 -1
2.707	33.1	481	0 0 2
1.569	58.8	311	1 2 3
1.958	46.4	231	0 4 0
1.586	58.1	215	0 4 2
1.912	47.6	202	2 0 2
1.917	47.4	199	2 0 -2
2.227	40.5	125	2 2 0
1.368	68.6	103	2 4 2
1.370	68.5	100	2 4 -2

Cell and atoms:
```
data_SrCa3V4O12
_chemical_formula_sum 'Sr1 Ca3 V4 O12'
_symmetry_space_group_name_H-M 'P 1 m 1'
_symmetry_Int_Tables_number 6
_cell_length_a 5.410
_cell_length_b 7.832
_cell_length_c 5.419
_cell_angle_alpha 90.00
_cell_angle_beta 90.16
_cell_angle_gamma 90.00
loop_
_symmetry_equiv_pos_as_xyz
'x,y,z'
'x,-y,z'
loop_
_atom_site_label
_atom_site_type_symbol
_atom_site_fract_x
_atom_site_fract_y
_atom_site_fract_z
Sr1 Sr 0.000 0.000 0.000
Ca1 Ca 0.448 0.500 0.499
Ca2 Ca 0.512 0.000 0.493
Ca3 Ca 0.943 0.500 0.994
V1 V 0.478 0.253 0.997
V2 V 0.979 0.252 0.495
O1 O 0.000 0.500 0.428
O2 O 0.200 0.285 0.793
O3 O 0.261 0.214 0.297
O4 O 0.482 0.000 0.925
O5 O 0.484 0.500 0.071
O6 O 0.703 0.290 0.707
O7 O 0.754 0.228 0.208
O8 O 0.955 0.000 0.544
```